This entry pairs a crystal structure of RbCu2H3S2O10 with its computed powder diffractogram. Radiation: Cu Kα, 1.54184 Å. Structure: a DFT-relaxed cell (GGA-PBE, Alexandria).

Top 10 peaks for 2θ = 10–90°, by angle:
2theta	I/Imax
12.3	35
18.4	49
19.3	61
24.1	36
26.0	100
29.9	74
30.6	91
32.4	47
37.2	60
49.4	37

Structural model:
```
RbCu2H3S2O10
1.0
4.6200 -3.1975 0.0000
4.6200 3.1975 0.0000
-3.8417 0.0000 7.1804
Rb Cu H S O
1 2 3 2 10
Direct
0.0000 0.0000 0.0000
0.5075 0.9975 0.4980
0.9975 0.5075 0.4980
0.0252 0.0252 0.5130
0.2054 0.2054 0.7078
0.7984 0.7984 0.2974
0.4306 0.4306 0.2234
0.5699 0.5699 0.7756
0.1566 0.1566 0.5709
0.2683 0.6555 0.7200
0.3279 0.3279 0.3188
0.3306 0.3306 0.0207
0.3456 0.7323 0.2801
0.6555 0.2683 0.7200
0.6701 0.6701 0.9781
0.6719 0.6719 0.6795
0.7323 0.3456 0.2801
0.8487 0.8487 0.4341
```